The following is a computed powder diffractogram of Ti12TlSn3. It was derived from a structure optimized by DFT (PBE), using Cu Kα, 1.54184 Å.

Top 6 peaks for 15° ≤ 2θ ≤ 90°, by angle:
2θ (°), intensity, h k l
24.02, 52, 1 1 0
34.22, 45, 2 0 0
38.41, 34, 2 0 2
42.24, 100, 1 2 2
66.79, 51, 3 2 2
87.26, 13, 3 2 6

Crystal structure
Unit cell a=5.238 b=5.238 c=10.491 alpha=90.00 beta=90.00 gamma=90.00
Positions (direct):
Ti1 0.000 0.000 0.123
Ti2 0.000 0.000 0.373
Ti3 0.000 0.000 0.627
Ti4 0.000 0.000 0.877
Ti5 0.250 0.500 0.252
Ti6 0.250 0.500 0.748
Ti7 0.500 0.249 0.000
Ti8 0.500 0.250 0.500
Ti9 0.500 0.750 0.500
Ti10 0.500 0.751 0.000
Ti11 0.750 0.500 0.252
Ti12 0.750 0.500 0.748
Tl1 0.000 0.500 0.000
Sn1 0.000 0.500 0.500
Sn2 0.500 0.000 0.250
Sn3 0.500 0.000 0.750